# Zn2CrPt9
Calculated powder diffractogram, a wavelength of 1.5418 Å. Input: a DFT-relaxed cell (GGA-PBE, Alexandria).
No peak broadening, texture or thermal motion is included.

Principal peaks in the range 2θ = 10–90°, by angle:
hkl	2θ (°)	Rel. int.
1 0 0	22.7	12
1 1 0	32.3	10
1 1 3	39.8	100
2 0 0	46.3	49
2 1 0	52.1	6
2 1 3	57.6	4
2 2 0	67.5	32
3 0 0	72.3	3
3 1 0	76.8	2
3 1 3	81.4	38
2 2 6	85.8	11

Structural model:
Cell lengths 3.921, 3.921, 11.777 Å; angles 90.00, 90.00, 90.00 degrees
Space group P4/mmm (No. 123)
Symmetry-distinct sites (fractional):
Zn: 0.000 0.000 0.165
Cr: 0.000 0.000 0.500
Pt: 0.000 0.500 0.000
Pt: 0.000 0.500 0.337
Pt: 0.500 0.500 0.168
Pt: 0.500 0.500 0.500



# Dy2TeH4
Calculated powder diffractogram, a wavelength of 1.5418 Å. Input: a DFT-relaxed cell (GGA-PBE, Alexandria).
No peak broadening, texture or thermal motion is included.

Principal peaks in the range 2θ = 10–90°, by angle:
hkl	2θ (°)	Rel. int.
1 0 1	27.2	18
0 1 2	28.0	27
1 0 4	31.3	100
0 1 5	33.5	31
0 0 9	35.8	16
0 1 8	42.1	34
1 1 0	47.5	35
0 2 4	58.0	17
1 0 13	60.2	15
1 1 9	60.9	20
2 0 8	65.3	9
2 1 4	78.1	15

Structural model:
Cell lengths 3.8295, 3.8295, 22.5592 Å; angles 90.00, 90.00, 120.00 degrees
Space group R-3m (No. 166, hexagonal axes)
Symmetry-distinct sites (fractional):
Dy: 0.0000 0.0000 0.2364
Te: 0.0000 0.0000 0.0000
H: 0.0000 0.0000 0.1378
H: 0.0000 0.0000 0.4356



# Ga2Ni4Ir
Calculated powder diffractogram, a wavelength of 1.5418 Å. Input: a DFT-relaxed cell (GGA-PBE, Alexandria).
No peak broadening, texture or thermal motion is included.

Principal peaks in the range 2θ = 10–90°, by angle:
hkl	2θ (°)	Rel. int.
1 1 1	23.6	34
0 2 0	37.1	27
1 1 3	37.8	42
3 1 1	38.5	100
0 0 4	41.6	63
0 2 2	42.8	55
4 0 0	43.1	60
2 2 1	44.4	24
3 1 3	49.0	86
4 0 4	61.4	32
3 3 1	67.9	22
3 1 7	88.6	19

Structural model:
Cell lengths 8.407, 4.840, 8.681 Å; angles 90.00, 90.00, 90.00 degrees
Space group Cmce (No. 64)
Symmetry-distinct sites (fractional):
Ga: 0.176 0.000 0.000
Ni: 0.000 0.080 0.214
Ni: 0.250 0.196 0.750
Ir: 0.000 0.000 0.500



# Ac2Sn3Rh
Calculated powder diffractogram, a wavelength of 1.5418 Å. Input: a DFT-relaxed cell (GGA-PBE, Alexandria).
No peak broadening, texture or thermal motion is included.

Principal peaks in the range 2θ = 10–90°, by angle:
hkl	2θ (°)	Rel. int.
1 1 1	29.3	23
3 1 -1	29.5	70
0 0 2	30.1	19
4 0 -2	30.4	20
1 1 -2	30.7	100
3 1 -2	30.9	35
2 0 1	32.1	23
3 1 0	35.3	45
4 0 -3	35.8	34
0 2 0	36.8	51
4 2 -3	52.2	23
7 1 -3	57.7	25

Structural model:
Cell lengths 11.834, 4.890, 7.877 Å; angles 90.00, 131.10, 90.00 degrees
Space group Cm (No. 8)
Symmetry-distinct sites (fractional):
Ac: 0.000 0.000 0.000
Ac: 0.123 0.000 0.597
Sn: 0.247 0.500 0.387
Sn: 0.370 0.000 0.183
Sn: 0.452 0.000 0.662
Rh: 0.247 0.500 0.033



# BaNa2Pb3
Calculated powder diffractogram, a wavelength of 1.5418 Å. Input: a DFT-relaxed cell (GGA-PBE, Alexandria).
No peak broadening, texture or thermal motion is included.

Principal peaks in the range 2θ = 10–90°, by angle:
hkl	2θ (°)	Rel. int.
1 1 0	10.7	45
0 2 0	16.0	43
2 2 0	21.6	30
2 2 1	25.9	27
3 1 1	27.2	83
0 0 2	28.6	50
4 0 0	29.0	25
0 4 0	32.3	22
0 2 2	33.0	26
3 3 1	35.7	100
2 2 2	36.1	32
3 3 3	55.4	29

Structural model:
Cell lengths 12.318, 11.086, 6.235 Å; angles 90.00, 90.00, 90.00 degrees
Space group Cmcm (No. 63)
Symmetry-distinct sites (fractional):
Ba: 0.000 0.214 0.250
Na: 0.240 0.500 0.000
Pb: 0.000 0.439 0.750
Pb: 0.190 0.242 0.750



# Mn3Se4
Calculated powder diffractogram, a wavelength of 1.5418 Å. Input: a DFT-relaxed cell (GGA-PBE, Alexandria).
No peak broadening, texture or thermal motion is included.

Principal peaks in the range 2θ = 10–90°, by angle:
hkl	2θ (°)	Rel. int.
1 1 1	14.2	13
2 2 0	23.3	12
3 1 1	27.4	33
2 2 2	28.6	51
4 0 0	33.2	87
5 1 1	43.5	29
4 4 0	47.6	100
6 2 2	56.5	20
4 4 4	59.3	19
8 0 0	69.6	14
8 4 0	79.3	22
8 4 4	88.7	29

Structural model:
Cell lengths 10.802, 10.802, 10.802 Å; angles 90.00, 90.00, 90.00 degrees
Space group Fd-3m (No. 227, origin choice 2)
Symmetry-distinct sites (fractional):
Mn: 0.000 0.000 0.000
Mn: 0.125 0.125 0.625
Se: 0.009 0.009 0.241



# Cs5K2Pb4
Calculated powder diffractogram, a wavelength of 1.5418 Å. Input: a DFT-relaxed cell (GGA-PBE, Alexandria).
No peak broadening, texture or thermal motion is included.

Principal peaks in the range 2θ = 10–90°, by angle:
hkl	2θ (°)	Rel. int.
1 1 -1	14.2	100
1 1 1	16.6	31
1 1 -2	20.3	21
2 0 2	24.3	27
0 2 1	24.5	29
2 0 -3	25.2	34
4 0 -3	28.0	25
2 2 1	28.2	22
0 2 2	29.1	45
1 1 3	31.8	43
0 2 4	43.4	22
6 2 2	49.8	19

Structural model:
Cell lengths 17.470, 7.817, 10.610 Å; angles 90.00, 111.51, 90.00 degrees
Space group C2/m (No. 12)
Symmetry-distinct sites (fractional):
Cs: 0.000 0.000 0.000
Cs: 0.107 0.251 0.423
K: 0.242 0.000 0.886
Pb: 0.098 0.500 0.760
Pb: 0.237 0.000 0.245



# SbHO
Calculated powder diffractogram, a wavelength of 1.5418 Å. Input: a DFT-relaxed cell (GGA-PBE, Alexandria).
No peak broadening, texture or thermal motion is included.

Principal peaks in the range 2θ = 10–90°, by angle:
hkl	2θ (°)	Rel. int.
0 0 1	18.8	77
1 0 0	28.5	100
1 0 1	33.0	44
1 0 -1	35.5	32
0 0 2	38.1	22
1 1 0	40.0	18
1 -1 0	41.3	18
1 1 1	42.5	12
1 -1 1	45.7	16
1 0 2	46.3	23
1 0 -2	50.1	20
1 -1 2	57.4	13

Structural model:
Cell lengths 3.147, 3.150, 4.757 Å; angles 85.46, 85.44, 87.94 degrees
Space group P1 (No. 1)
Symmetry-distinct sites (fractional):
Sb: 0.000 0.000 0.000
H: 0.711 0.718 0.487
O: 0.932 0.931 0.446



# La2Dy5Ho3
Calculated powder diffractogram, a wavelength of 1.5418 Å. Input: a DFT-relaxed cell (GGA-PBE, Alexandria).
No peak broadening, texture or thermal motion is included.

Principal peaks in the range 2θ = 10–90°, by angle:
hkl	2θ (°)	Rel. int.
0 0 2	20.4	22
2 2 1	27.7	30
2 2 -3	30.4	45
2 4 0	31.0	100
2 4 -2	32.2	63
0 4 2	32.3	40
4 0 -2	33.0	67
2 0 2	33.3	59
2 0 -4	36.7	26
6 4 -2	56.9	20
4 4 2	57.3	17
4 8 -2	62.0	15

Structural model:
Cell lengths 10.940, 14.359, 9.798 Å; angles 90.00, 117.29, 90.00 degrees
Space group C2/c (No. 15)
Symmetry-distinct sites (fractional):
La: 0.173 0.124 0.046
Dy: 0.000 0.032 0.250
Dy: 0.000 0.251 0.250
Dy: 0.000 0.496 0.250
Dy: 0.201 0.125 0.672
Ho: 0.000 0.273 0.750
Ho: 0.171 0.374 0.579



# Pm3PrPt8
Calculated powder diffractogram, a wavelength of 1.5418 Å. Input: a DFT-relaxed cell (GGA-PBE, Alexandria).
No peak broadening, texture or thermal motion is included.

Principal peaks in the range 2θ = 10–90°, by angle:
hkl	2θ (°)	Rel. int.
1 1 0	32.5	19
1 0 3	35.2	61
1 1 2	38.2	100
0 2 1	39.0	100
0 0 4	39.9	24
2 0 2	42.8	31
0 1 4	44.3	16
2 1 3	59.7	25
0 3 2	61.7	25
0 2 5	64.6	33
2 2 0	68.0	31
2 2 4	81.8	19

Structural model:
Cell lengths 5.5177, 5.5177, 9.0420 Å; angles 90.00, 90.00, 120.00 degrees
Space group P3m1 (No. 156)
Symmetry-distinct sites (fractional):
Pm: 0.0000 0.0000 0.0000
Pm: 0.0000 0.0000 0.3690
Pm: 0.3333 0.6667 0.8725
Pr: 0.3333 0.6667 0.5015
Pt: 0.0031 0.5016 0.1848
Pt: 0.3297 0.1648 0.6868
Pt: 0.6667 0.3333 0.4356
Pt: 0.6667 0.3333 0.9354



# Ba3Y4O9
Calculated powder diffractogram, a wavelength of 1.5418 Å. Input: a DFT-relaxed cell (GGA-PBE, Alexandria).
No peak broadening, texture or thermal motion is included.

Principal peaks in the range 2θ = 10–90°, by angle:
hkl	2θ (°)	Rel. int.
0 1 5	24.0	17
1 1 0	29.0	100
1 0 7	29.5	82
0 2 7	41.9	46
3 0 0	51.4	24
3 -1 7	51.7	36
2 -1 12	52.0	12
0 1 14	52.8	9
2 2 0	60.1	16
1 3 7	68.4	14
4 1 0	82.9	11
5 -2 7	83.2	10

Structural model:
Cell lengths 6.1606, 6.1606, 25.6862 Å; angles 90.00, 90.00, 120.00 degrees
Space group R3 (No. 146, hexagonal axes)
Symmetry-distinct sites (fractional):
Ba: 0.0000 0.0000 0.0000
Ba: 0.0000 0.0000 0.1665
Ba: 0.0000 0.0000 0.5856
Y: 0.0000 0.0000 0.3012
Y: 0.0000 0.0000 0.4268
Y: 0.0000 0.0000 0.7395
Y: 0.0000 0.0000 0.8648
O: 0.0006 0.5651 0.5831
O: 0.0135 0.4452 0.0266
O: 0.1087 0.3484 0.4721



# Li3Ge2Te4
Calculated powder diffractogram, a wavelength of 1.5418 Å. Input: a DFT-relaxed cell (GGA-PBE, Alexandria).
No peak broadening, texture or thermal motion is included.

Principal peaks in the range 2θ = 10–90°, by angle:
hkl	2θ (°)	Rel. int.
2 0 0	11.5	43
0 0 2	20.3	39
2 0 -2	22.9	42
4 0 0	23.1	63
3 1 1	23.6	100
0 2 1	25.7	38
0 2 2	31.3	38
1 1 -3	33.2	70
1 1 3	33.7	53
4 2 1	35.1	40
5 1 -3	43.4	52
7 1 1	44.5	40

Structural model:
Cell lengths 15.441, 7.550, 8.768 Å; angles 90.00, 92.42, 90.00 degrees
Space group C2/c (No. 15)
Symmetry-distinct sites (fractional):
Li: 0.000 0.002 0.250
Li: 0.108 0.446 0.717
Ge: 0.196 0.129 0.967
Te: 0.043 0.273 0.002
Te: 0.234 0.138 0.665



# BaAs5
Calculated powder diffractogram, a wavelength of 1.5418 Å. Input: a DFT-relaxed cell (GGA-PBE, Alexandria).
No peak broadening, texture or thermal motion is included.

Principal peaks in the range 2θ = 10–90°, by angle:
hkl	2θ (°)	Rel. int.
0 0 2	15.2	21
1 1 1	25.6	27
0 1 3	28.6	17
0 0 4	30.7	19
1 1 3	33.7	100
0 2 0	34.2	52
2 0 0	35.4	48
1 1 5	46.2	17
2 2 0	50.0	35
1 3 3	60.9	18
1 1 7	61.2	19
3 1 3	62.4	16

Structural model:
Cell lengths 5.077, 5.246, 11.648 Å; angles 90.00, 90.00, 90.00 degrees
Space group Amm2 (No. 38)
Symmetry-distinct sites (fractional):
Ba: 0.000 0.000 0.000
As: 0.000 0.000 0.293
As: 0.000 0.000 0.712
As: 0.500 0.000 0.205
As: 0.500 0.000 0.417
As: 0.500 0.000 0.783